Theoretical X-ray powder pattern of KLaAs for Cu Kα (weighted mean of Kα1 and Kα2), from the PBE geometry in Alexandria.
Peak positions follow from Bragg's law for the DFT cell and can differ from measured ones.

Most intense lines, 2θ = 10–80°, in order of falling intensity:
13.1 deg, I 100; 29.0 deg, I 80; 33.8 deg, I 75; 30.1 deg, I 37; 36.1 deg, I 31; 23.3 deg, I 29; 38.1 deg, I 24; 18.1 deg, I 22; 54.2 deg, I 21; 45.8 deg, I 21; 40.0 deg, I 18; 22.5 deg, I 13

Crystal structure
Lattice parameters (Å, degrees): 9.8619 8.7306 8.0519 71.85 57.27 50.88
Fractional positions:
K (0.0000, 0.0000, 0.0000)
K (0.0000, 0.0000, 0.5000)
K (0.0000, 0.5000, 0.0000)
K (0.5000, 0.0000, 0.0000)
La (0.2416, 0.2416, 0.5084)
La (0.4916, 0.4916, 0.7584)
La (0.5084, 0.5084, 0.2416)
La (0.7584, 0.7584, 0.4916)
As (0.1963, 0.5537, 0.1963)
As (0.4463, 0.8037, 0.4463)
As (0.5537, 0.1963, 0.5537)
As (0.8037, 0.4463, 0.8037)

Theoretical X-ray powder pattern of K3LaAs2O8 for Cu Kα (weighted mean of Kα1 and Kα2), from the PBE geometry in Alexandria.
Peak positions follow from Bragg's law for the DFT cell and can differ from measured ones.

Most intense lines, 2θ = 10–80°, in order of falling intensity:
20.8 deg, I 100; 30.5 deg, I 91; 29.0 deg, I 74; 11.4 deg, I 70; 28.6 deg, I 68; 29.8 deg, I 66; 41.8 deg, I 31; 38.6 deg, I 24; 42.4 deg, I 18; 53.4 deg, I 16; 40.3 deg, I 14; 52.2 deg, I 12

Crystal structure
Lattice parameters (Å, degrees): 7.7804 5.9937 10.0707 90.00 91.70 90.00
Fractional positions:
K (0.0077, 0.0000, 0.1940)
K (0.1435, 0.5129, 0.4106)
K (0.3001, 0.9905, 0.9150)
K (0.6999, 0.4905, 0.0850)
K (0.8565, 0.0129, 0.5894)
K (0.9923, 0.5000, 0.8060)
La (0.4908, 0.4882, 0.7103)
La (0.5092, 0.9882, 0.2897)
As (0.2604, 0.4893, 0.0848)
As (0.3065, 0.0141, 0.5720)
As (0.6935, 0.5141, 0.4280)
As (0.7396, 0.9893, 0.9152)
O (0.0436, 0.4795, 0.1036)
O (0.2100, 0.9921, 0.4160)
O (0.2318, 0.2451, 0.6557)
O (0.2673, 0.7792, 0.6652)
O (0.3151, 0.4859, 0.9199)
O (0.3421, 0.7307, 0.1567)
O (0.3536, 0.2602, 0.1630)
O (0.4796, 0.5658, 0.4560)
O (0.5204, 0.0658, 0.5440)
O (0.6464, 0.7602, 0.8370)
O (0.6579, 0.2307, 0.8433)
O (0.6849, 0.9859, 0.0801)
O (0.7327, 0.2792, 0.3348)
O (0.7682, 0.7451, 0.3443)
O (0.7900, 0.4921, 0.5840)
O (0.9564, 0.9795, 0.8964)

Theoretical X-ray powder pattern of K2LaAs2S6 for Cu Kα (weighted mean of Kα1 and Kα2), from the PBE geometry in Alexandria.
Peak positions follow from Bragg's law for the DFT cell and can differ from measured ones.

Most intense lines, 2θ = 10–80°, in order of falling intensity:
24.4 deg, I 100; 25.4 deg, I 93; 16.3 deg, I 87; 16.8 deg, I 65; 24.6 deg, I 45; 21.3 deg, I 42; 35.8 deg, I 42; 35.2 deg, I 36; 44.6 deg, I 35; 43.9 deg, I 35; 32.9 deg, I 35; 31.4 deg, I 26

Crystal structure
Lattice parameters (Å, degrees): 7.0062 7.0062 8.5454 113.98 113.98 62.19
Fractional positions:
K (0.2014, 0.2014, 0.1795)
K (0.7986, 0.7986, 0.8205)
La (0.0000, 0.0000, 0.5000)
As (0.4577, 0.4577, 0.8143)
As (0.5423, 0.5423, 0.1857)
S (0.1901, 0.6898, 0.2033)
S (0.2586, 0.2586, 0.5942)
S (0.3102, 0.8099, 0.7967)
S (0.6898, 0.1901, 0.2033)
S (0.7414, 0.7414, 0.4058)
S (0.8099, 0.3102, 0.7967)

Theoretical X-ray powder pattern of KNaLiAs for Cu Kα (weighted mean of Kα1 and Kα2), from the PBE geometry in Alexandria.
Peak positions follow from Bragg's law for the DFT cell and can differ from measured ones.

Most intense lines, 2θ = 10–80°, in order of falling intensity:
22.2 deg, I 100; 33.4 deg, I 96; 38.0 deg, I 75; 29.7 deg, I 53; 15.0 deg, I 47; 49.3 deg, I 26; 51.4 deg, I 26; 65.7 deg, I 24; 23.9 deg, I 24; 41.0 deg, I 23; 56.5 deg, I 18; 30.2 deg, I 18

Crystal structure
Lattice parameters (Å, degrees): 6.5125 6.5125 6.5125 42.68 42.68 42.68
Fractional positions:
K (0.0000, 0.0000, 0.0000)
Na (0.1871, 0.1871, 0.1871)
Li (0.4599, 0.4599, 0.4599)
As (0.7937, 0.7937, 0.7937)

Theoretical X-ray powder pattern of K2LiNiAs2 for Cu Kα (weighted mean of Kα1 and Kα2), from the PBE geometry in Alexandria.
Peak positions follow from Bragg's law for the DFT cell and can differ from measured ones.

Most intense lines, 2θ = 10–80°, in order of falling intensity:
31.6 deg, I 100; 12.0 deg, I 66; 15.4 deg, I 51; 40.7 deg, I 46; 53.8 deg, I 23; 37.6 deg, I 22; 52.3 deg, I 22; 28.4 deg, I 21; 37.7 deg, I 20; 23.4 deg, I 17; 28.6 deg, I 16; 58.0 deg, I 16

Crystal structure
Lattice parameters (Å, degrees): 8.6086 8.6086 8.6086 137.44 61.95 137.19
Fractional positions:
K (0.1699, 0.2289, 0.3987)
K (0.3301, 0.7289, 0.0590)
K (0.6699, 0.2711, 0.9410)
K (0.8301, 0.7711, 0.6013)
Li (0.2500, 0.2500, 0.0000)
Li (0.7500, 0.7500, 0.0000)
Ni (0.2500, 0.7500, 0.5000)
Ni (0.7500, 0.2500, 0.5000)
As (0.0815, 0.7111, 0.7926)
As (0.4185, 0.2111, 0.6296)
As (0.5815, 0.7889, 0.3704)
As (0.9185, 0.2889, 0.2074)